Entry 1:
This entry pairs a crystal structure of KCdB2F8 with its simulated XRD peak list. Radiation: copper Kα. Structure: a cell relaxed with GGA-PBE.
Lines closer than 0.1° are merged.

Top 10 peaks for 5 to 70 degrees two-theta, in order of falling intensity:
two_theta, d_spacing, intensity
25.10, 3.548, 1000
41.80, 2.161, 552
33.69, 2.660, 355
37.79, 2.381, 254
19.68, 4.512, 233
27.88, 3.200, 224
39.97, 2.256, 207
20.87, 4.257, 182
39.32, 2.291, 182
11.94, 7.414, 163

```
KCdB2F8
1.0
2.660 1.536 7.414
-2.660 1.536 7.414
0.000 -3.072 7.414
K Cd B F
1 1 2 8
Direct
0.000 0.000 0.000
0.500 0.500 0.500
0.257 0.257 0.257
0.743 0.743 0.743
0.023 0.172 0.514
0.172 0.514 0.023
0.321 0.321 0.321
0.486 0.977 0.828
0.514 0.023 0.172
0.679 0.679 0.679
0.828 0.486 0.977
0.977 0.828 0.486
```


Entry 2:
This entry pairs a crystal structure of NaCdBF6 with its simulated XRD peak list. Radiation: copper Kα. Structure: a cell relaxed with GGA-PBE.
Lines closer than 0.1° are merged.

Top 10 peaks for 5 to 70 degrees two-theta, in order of falling intensity:
two_theta, d_spacing, intensity
28.77, 3.103, 1000
12.56, 7.048, 987
20.96, 4.238, 711
22.42, 3.966, 578
44.77, 2.024, 531
30.32, 2.948, 439
24.57, 3.623, 340
45.76, 1.983, 334
25.27, 3.524, 329
24.45, 3.641, 329

```
NaCdBF6
1.0
4.136 0.000 0.000
0.155 4.238 0.000
2.043 -0.041 7.048
Na Cd B F
1 1 1 6
Direct
0.000 0.000 0.000
0.640 0.496 0.716
0.331 0.499 0.327
0.070 0.318 0.447
0.077 0.497 0.844
0.198 0.706 0.215
0.474 0.678 0.449
0.576 0.294 0.212
0.591 0.997 0.817
```


Entry 3:
This entry pairs a crystal structure of NbCd2BF with its simulated XRD peak list. Radiation: copper Kα. Structure: a cell relaxed with GGA-PBE.
Lines closer than 0.1° are merged.

Top 10 peaks for 5 to 70 degrees two-theta, in order of falling intensity:
two_theta, d_spacing, intensity
34.45, 2.604, 1000
39.48, 2.283, 430
58.22, 1.585, 259
68.38, 1.372, 257
19.44, 4.566, 251
20.17, 4.404, 204
40.99, 2.202, 193
57.06, 1.614, 138
44.72, 2.027, 102
27.63, 3.228, 99

```
NbCd2BF
1.0
4.566 0.000 0.000
0.000 4.566 0.000
0.000 0.000 4.404
Nb Cd B F
1 2 1 1
Direct
0.000 0.000 0.000
0.000 0.500 0.500
0.500 0.000 0.500
0.500 0.500 0.000
0.000 0.000 0.500
```


Entry 4:
This entry pairs a crystal structure of RbCdB2F8 with its simulated XRD peak list. Radiation: copper Kα. Structure: a cell relaxed with GGA-PBE.
Lines closer than 0.1° are merged.

Top 10 peaks for 5 to 70 degrees two-theta, in order of falling intensity:
two_theta, d_spacing, intensity
24.42, 3.645, 1000
40.79, 2.212, 489
33.49, 2.676, 333
20.59, 4.314, 281
36.10, 2.488, 254
39.63, 2.274, 189
66.49, 1.406, 157
58.23, 1.584, 153
41.88, 2.157, 140
43.02, 2.103, 139

```
RbCdB2F8
1.0
2.676 1.545 7.865
-2.676 1.545 7.865
0.000 -3.090 7.865
Rb Cd B F
1 1 2 8
Direct
0.000 0.000 0.000
0.500 0.500 0.500
0.253 0.253 0.253
0.747 0.747 0.747
0.010 0.505 0.186
0.186 0.010 0.505
0.313 0.313 0.313
0.495 0.814 0.990
0.505 0.186 0.010
0.687 0.687 0.687
0.814 0.990 0.495
0.990 0.495 0.814
```